Simulated powder XRD pattern
Compound: SrSbSe3
Radiation: CuKα
Structure: a structure optimized by DFT (GGA-PBE)
Lines closer than 0.1° are merged.

Top 8 peaks for 2θ from 10° to 90°, by intensity:
| hkl | two_theta | I (rel.) |
| --- | --- | --- |
| 2 1 -1 | 31.6 | 100 |
| 2 1 0 | 30.7 | 51 |
| 1 1 -3 | 38.7 | 49 |
| 1 0 3 | 34.8 | 39 |
| 3 1 2 | 47.4 | 33 |
| 0 2 0 | 42.8 | 32 |
| 1 0 2 | 24.8 | 31 |
| 0 0 1 | 10.4 | 26 |

Structure:
```
SrSbSe3
1.0
8.1039 0.0000 0.0000
0.0000 4.2215 0.0000
-1.0437 0.0000 8.5188
Sr Sb Se
2 2 6
Cartesian
0.9866 1.0554 2.5529 Sr
6.0735 3.1661 5.9659 Sr
1.7401 3.1661 7.2788 Sb
5.3201 1.0554 1.2399 Sb
-0.0738 1.0554 7.8594 Se
0.9093 3.1661 4.7798 Se
3.3643 3.1661 1.6475 Se
3.6958 1.0554 6.8713 Se
6.1508 1.0554 3.7390 Se
7.1339 3.1661 0.6593 Se
```